[1]
Simulated powder diffractogram of LiCu3SnTe4 for CuKα, from a DFT-relaxed cell (GGA-PBE, OQMD).
Intensities are scaled so that the largest is 100.

Top 6 peaks for 2θ from 10° to 80°, in order of rising 2θ:
| 2θ (°) | Rel. int. | h k l |
| --- | --- | --- |
| 14.28 | 24.8 | 1 0 0 |
| 24.86 | 95.1 | 1 1 1 |
| 32.27 | 26.3 | 2 1 0 |
| 41.16 | 100.0 | 2 2 0 |
| 48.69 | 44.1 | 3 1 1 |
| 75.01 | 31.9 | 4 2 2 |

Atomic structure:
```
data_LiCu3SnTe4
_cell_length_a 6.2029
_cell_length_b 6.2029
_cell_length_c 6.2029
_cell_angle_alpha 90.00
_cell_angle_beta 90.00
_cell_angle_gamma 90.00
_symmetry_space_group_name_H-M 'P -4 3 m'
_symmetry_Int_Tables_number 215
_symmetry_space_group_name_Hall 'P -4 2 3'
loop_
_atom_site_label
_atom_site_fract_x
_atom_site_fract_y
_atom_site_fract_z
Li1 0.0000 0.0000 0.0000
Cu1 0.0000 0.5000 0.5000
Sn1 0.5000 0.5000 0.5000
Te1 0.2410 0.2410 0.2410
```


[2]
Simulated powder diffractogram of Li4ZnCu2Sn for CuKα, from a DFT-relaxed cell (GGA-PBE, OQMD).
Intensities are scaled so that the largest is 100.

Top 6 peaks for 2θ from 10° to 80°, in order of rising 2θ:
| 2θ (°) | Rel. int. | h k l |
| --- | --- | --- |
| 25.45 | 100.0 | 1 0 1 |
| 42.16 | 96.7 | 2 0 0 |
| 49.83 | 31.8 | 2 1 1 |
| 49.99 | 15.5 | 1 0 3 |
| 67.36 | 12.4 | 2 1 3 |
| 77.00 | 20.7 | 3 1 2 |

Atomic structure:
```
data_Li4ZnCu2Sn
_cell_length_a 4.2929
_cell_length_b 4.2929
_cell_length_c 6.0472
_cell_angle_alpha 90.00
_cell_angle_beta 90.00
_cell_angle_gamma 90.00
_symmetry_space_group_name_H-M 'P -4 m 2'
_symmetry_Int_Tables_number 115
_symmetry_space_group_name_Hall 'P -4 -2'
loop_
_atom_site_label
_atom_site_fract_x
_atom_site_fract_y
_atom_site_fract_z
Li1 0.0000 0.0000 0.0000
Li2 0.0000 0.5000 0.2321
Li3 0.5000 0.5000 0.5000
Zn1 0.5000 0.5000 0.0000
Cu1 0.0000 0.5000 0.7619
Sn1 0.0000 0.0000 0.5000
```


[3]
Simulated powder diffractogram of LiThCuTe3 for CuKα, from a DFT-relaxed cell (GGA-PBE, OQMD).
Intensities are scaled so that the largest is 100.

Top 6 peaks for 2θ from 10° to 80°, in order of rising 2θ:
| 2θ (°) | Rel. int. | h k l |
| --- | --- | --- |
| 12.20 | 91.0 | 0 2 0 |
| 26.35 | 42.9 | 0 2 3 |
| 27.88 | 49.7 | 1 3 0 |
| 32.03 | 100.0 | 1 3 2 |
| 38.32 | 30.1 | 1 1 4 |
| 40.77 | 41.9 | 1 5 2 |

Atomic structure:
```
data_LiThCuTe3
_cell_length_a 4.2684
_cell_length_b 14.5044
_cell_length_c 11.4700
_cell_angle_alpha 90.00
_cell_angle_beta 90.00
_cell_angle_gamma 90.00
_symmetry_space_group_name_H-M 'C m c m'
_symmetry_Int_Tables_number 63
_symmetry_space_group_name_Hall '-C 2c 2'
loop_
_atom_site_label
_atom_site_fract_x
_atom_site_fract_y
_atom_site_fract_z
Li1 0.0000 0.1684 0.2500
Th1 0.0000 0.0000 0.0000
Cu1 0.0000 0.4765 0.7500
Te1 0.0000 0.0872 0.7500
Te2 0.0000 0.3541 0.5761
```


[4]
Simulated powder diffractogram of LiZrCuTe3 for CuKα, from a DFT-relaxed cell (GGA-PBE, OQMD).
Intensities are scaled so that the largest is 100.

Top 6 peaks for 2θ from 10° to 80°, in order of rising 2θ:
| 2θ (°) | Rel. int. | h k l |
| --- | --- | --- |
| 12.61 | 45.5 | 0 2 0 |
| 24.86 | 44.6 | 1 1 1 |
| 27.97 | 70.1 | 0 2 3 |
| 30.78 | 43.5 | 1 3 1 |
| 34.08 | 100.0 | 1 3 2 |
| 42.97 | 36.2 | 1 5 2 |

Atomic structure:
```
data_LiZrCuTe3
_cell_length_a 3.9469
_cell_length_b 14.0352
_cell_length_c 10.7461
_cell_angle_alpha 90.00
_cell_angle_beta 90.00
_cell_angle_gamma 90.00
_symmetry_space_group_name_H-M 'C m c m'
_symmetry_Int_Tables_number 63
_symmetry_space_group_name_Hall '-C 2c 2'
loop_
_atom_site_label
_atom_site_fract_x
_atom_site_fract_y
_atom_site_fract_z
Li1 0.0000 0.2134 0.2500
Zr1 0.0000 0.0000 0.0000
Cu1 0.0000 0.4730 0.7500
Te1 0.0000 0.0951 0.7500
Te2 0.0000 0.3554 0.5632
```


Q: Which formula does entry 4 have?
A: LiZrCuTe3